For Ti2VO, a cell relaxed with GGA+U gives the simulated PXRD pattern in this record (Cu Kα, 1.54184 Å).
Neutral-atom scattering factors, no anomalous dispersion.

Most intense lines, 10° ≤ 2θ ≤ 90°, in order of rising 2θ:
hkl 1 0 1, 2θ 35.41, d = 2.535 Å, I = 13; hkl 0 0 9, 2θ 38.49, d = 2.339 Å, I = 23; hkl 1 0 4, 2θ 39.22, d = 2.297 Å, I = 100; hkl 0 1 5, 2θ 41.36, d = 2.183 Å, I = 31; hkl 0 1 8, 2θ 49.76, d = 1.832 Å, I = 28; hkl 1 1 0, 2θ 63.06, d = 1.474 Å, I = 24; hkl 1 0 13, 2θ 68.63, d = 1.367 Å, I = 13; hkl 1 1 9, 2θ 76.36, d = 1.247 Å, I = 16; hkl 0 2 4, 2θ 76.83, d = 1.241 Å, I = 11; hkl 2 0 8, 2θ 84.32, d = 1.149 Å, I = 5

Cell and atoms:
Cell lengths 2.9483, 2.9483, 21.0511 Å; angles 90.00, 90.00, 120.00 degrees
Space group R-3m (No. 166, hexagonal axes)
One atom of each set of equivalent atoms:
Ti 0.0000 0.0000 0.2296 [6 per cell]
V 0.0000 0.0000 0.0000 [3 per cell]
O 0.0000 0.0000 0.5000 [3 per cell]